1.
The following is a calculated powder diffractogram of Li7Ni6. It was derived from a structure optimized by DFT (PBE), using a wavelength of 1.5418 Å.
Lines closer than 0.1° are merged.

Structure:
```
data_Li7Ni6
_chemical_formula_sum 'Li7 Ni6'
_cell_length_a 8.8105
_cell_length_b 8.8105
_cell_length_c 8.8105
_cell_angle_alpha 29.43
_cell_angle_beta 29.43
_cell_angle_gamma 29.43
_space_group_name_H-M_alt 'P 1'
_space_group_IT_number 1
_space_group_name_Hall 'P 1'
loop_
_atom_site_label
_atom_site_type_symbol
_atom_site_fract_x
_atom_site_fract_y
_atom_site_fract_z
_atom_site_occupancy
Li1 Li 0.0000 0.0000 0.0000 1
Li2 Li 0.0912 0.0912 0.5786 1
Li3 Li 0.0912 0.5786 0.0912 1
Li4 Li 0.4214 0.9088 0.9088 1
Li5 Li 0.5786 0.0912 0.0912 1
Li6 Li 0.9088 0.4214 0.9088 1
Li7 Li 0.9088 0.9088 0.4214 1
Ni1 Ni 0.1659 0.1659 0.1659 1
Ni2 Ni 0.3521 0.3521 0.3521 1
Ni3 Ni 0.4558 0.4558 0.4558 1
Ni4 Ni 0.5442 0.5442 0.5442 1
Ni5 Ni 0.6479 0.6479 0.6479 1
Ni6 Ni 0.8341 0.8341 0.8341 1
```

Principal peaks in the range 5 to 70 degrees two-theta, in order of rising 2θ:
Position (°2θ), I/Imax
10.50, 45
21.09, 45
23.22, 45
26.99, 23
40.31, 100
42.72, 59
45.92, 88
47.03, 11
60.18, 16
62.73, 11

=====

2.
The following is a calculated powder diffractogram of Sr3SnSb3. It was derived from a structure optimized by DFT (PBE), using a wavelength of 1.5418 Å.
Lines closer than 0.1° are merged.

Structure:
```
data_Sr3SnSb3
_chemical_formula_sum 'Sr6 Sn2 Sb6'
_cell_length_a 9.8267
_cell_length_b 9.8267
_cell_length_c 6.6499
_cell_angle_alpha 90.00
_cell_angle_beta 90.00
_cell_angle_gamma 120.00
_space_group_name_H-M_alt 'P 1'
_space_group_IT_number 1
_space_group_name_Hall 'P 1'
loop_
_atom_site_label
_atom_site_type_symbol
_atom_site_fract_x
_atom_site_fract_y
_atom_site_fract_z
_atom_site_occupancy
Sr1 Sr 0.0732 0.3860 0.2500 1
Sr2 Sr 0.3128 0.9268 0.2500 1
Sr3 Sr 0.3860 0.3128 0.7500 1
Sr4 Sr 0.6140 0.6872 0.2500 1
Sr5 Sr 0.6872 0.0732 0.7500 1
Sr6 Sr 0.9268 0.6140 0.7500 1
Sn1 Sn 0.3333 0.6667 0.7500 1
Sn2 Sn 0.6667 0.3333 0.2500 1
Sb1 Sb 0.0726 0.3593 0.7500 1
Sb2 Sb 0.2868 0.9274 0.7500 1
Sb3 Sb 0.3593 0.2868 0.2500 1
Sb4 Sb 0.6407 0.7132 0.7500 1
Sb5 Sb 0.7132 0.0726 0.2500 1
Sb6 Sb 0.9274 0.6407 0.2500 1
```

Principal peaks in the range 5 to 70 degrees two-theta, in order of rising 2θ:
Position (°2θ), I/Imax
16.92, 45
18.05, 29
26.81, 100
27.73, 94
30.88, 30
31.54, 80
38.13, 28
38.96, 75
41.86, 73
47.23, 31